(1)
For Fe4Mo, DFT lattice parameters and positions (GGA-PBE) gives the calculated PXRD pattern in this record (Cu Kα, 1.54184 Å).

Principal peaks in the range 10° ≤ 2θ ≤ 80°, in order of falling intensity:
two_theta	I/Imax
42.5	100
49.4	46
72.5	25
37.5	7
39.1	4
76.5	4

Atomic structure:
Unit cell a=9.3966 b=9.3966 c=9.3966 alpha=164.05 beta=164.05 gamma=22.63
Atoms (fractional coordinates):
1 Fe 0.1116 0.1116 0.0000
2 Fe 0.2941 0.2941 0.0000
3 Fe 0.7059 0.7059 0.0000
4 Fe 0.8884 0.8884 0.0000
5 Mo 0.5000 0.5000 0.0000



(2)
For Cs3Cu20Te13, DFT lattice parameters and positions (GGA-PBE) gives the calculated PXRD pattern in this record (Cu Kα, 1.54184 Å).

Principal peaks in the range 10° ≤ 2θ ≤ 80°, in order of falling intensity:
two_theta	I/Imax
29.3	100
45.5	70
42.0	36
48.8	36
79.2	23
71.6	20

Atomic structure:
Unit cell a=10.5469 b=10.5469 c=10.5469 alpha=60.00 beta=60.00 gamma=60.00
Atoms (fractional coordinates):
1 Cs 0.0000 0.0000 0.0000
2 Cs 0.2500 0.2500 0.2500
3 Cs 0.7500 0.7500 0.7500
4 Cu 0.1302 0.3821 0.6179
5 Cu 0.1302 0.6179 0.8698
6 Cu 0.1302 0.8698 0.3821
7 Cu 0.1890 0.6037 0.6037
8 Cu 0.3821 0.1302 0.8698
9 Cu 0.3821 0.6179 0.1302
10 Cu 0.3821 0.8698 0.6179
11 Cu 0.3963 0.3963 0.3963
12 Cu 0.3963 0.3963 0.8110
13 Cu 0.3963 0.8110 0.3963
14 Cu 0.6037 0.1890 0.6037
15 Cu 0.6037 0.6037 0.1890
16 Cu 0.6037 0.6037 0.6037
17 Cu 0.6179 0.1302 0.3821
18 Cu 0.6179 0.3821 0.8698
19 Cu 0.6179 0.8698 0.1302
20 Cu 0.8110 0.3963 0.3963
21 Cu 0.8698 0.1302 0.6179
22 Cu 0.8698 0.3821 0.1302
23 Cu 0.8698 0.6179 0.3821
24 Te 0.1203 0.3684 0.8797
25 Te 0.1203 0.6316 0.3684
26 Te 0.1203 0.8797 0.6316
27 Te 0.3684 0.1203 0.6316
28 Te 0.3684 0.6316 0.8797
29 Te 0.3684 0.8797 0.1203
30 Te 0.5000 0.5000 0.5000
31 Te 0.6316 0.1203 0.8797
32 Te 0.6316 0.3684 0.1203
33 Te 0.6316 0.8797 0.3684
34 Te 0.8797 0.1203 0.3684
35 Te 0.8797 0.3684 0.6316
36 Te 0.8797 0.6316 0.1203



(3)
For TaP3, DFT lattice parameters and positions (GGA-PBE) gives the calculated PXRD pattern in this record (Cu Kα, 1.54184 Å).

Principal peaks in the range 10° ≤ 2θ ≤ 80°, in order of falling intensity:
two_theta	I/Imax
40.3	100
26.2	93
20.9	39
40.0	31
49.0	28
34.1	24

Atomic structure:
Unit cell a=4.9922 b=4.9922 c=4.9922 alpha=136.24 beta=136.24 gamma=63.61
Atoms (fractional coordinates):
1 Ta 0.0000 0.0000 0.0000
2 P 0.2500 0.7500 0.5000
3 P 0.5000 0.5000 0.0000
4 P 0.7500 0.2500 0.5000



(4)
For SmC6, DFT lattice parameters and positions (GGA-PBE) gives the calculated PXRD pattern in this record (Cu Kα, 1.54184 Å).

Principal peaks in the range 10° ≤ 2θ ≤ 80°, in order of falling intensity:
two_theta	I/Imax
30.6	100
23.7	95
46.2	45
45.7	33
52.6	22
69.3	19

Atomic structure:
Unit cell a=4.3304 b=4.3304 c=4.6735 alpha=90.00 beta=90.00 gamma=120.00
Atoms (fractional coordinates):
1 Sm 0.0000 0.0000 0.0000
2 C 0.0000 0.3330 0.5000
3 C 0.0000 0.6670 0.5000
4 C 0.3330 0.0000 0.5000
5 C 0.3330 0.3330 0.5000
6 C 0.6670 0.0000 0.5000
7 C 0.6670 0.6670 0.5000



(5)
For K2PdBr3Cl, DFT lattice parameters and positions (GGA-PBE) gives the calculated PXRD pattern in this record (Cu Kα, 1.54184 Å).

Principal peaks in the range 10° ≤ 2θ ≤ 80°, in order of falling intensity:
two_theta	I/Imax
11.9	100
20.3	67
26.5	58
31.5	57
23.6	42
34.1	39

Atomic structure:
Unit cell a=4.3769 b=7.4527 c=7.4527 alpha=89.74 beta=90.00 gamma=90.00
Atoms (fractional coordinates):
1 K 0.0000 0.2446 0.7554
2 K 0.0000 0.7554 0.2446
3 Pd 0.5000 0.2477 0.2477
4 Br 0.5000 0.0140 0.4830
5 Br 0.5000 0.4804 0.4804
6 Br 0.5000 0.4830 0.0140
7 Cl 0.5000 0.0256 0.0256